Structure and simulated XRD peak list of HgAuCl6 (DFT lattice parameters and positions (PBE); Cu Kα).
Lines closer than 0.1° are merged.

Principal peaks in the range 10 to 90 degrees two-theta, low angle first:
2θ 15.66, rel. 593
2θ 16.54, rel. 1000
2θ 24.53, rel. 285
2θ 29.00, rel. 272
2θ 29.36, rel. 232
2θ 33.33, rel. 319
2θ 33.44, rel. 161
2θ 34.40, rel. 132
2θ 40.25, rel. 154
2θ 48.88, rel. 124

Crystal structure
```
HgAuCl6
1.0
3.275 -5.658 0.000
3.275 5.658 0.000
-2.927 0.000 7.339
Hg Au Cl
1 1 6
Cartesian
0.000 0.000 0.000
-1.464 0.000 3.669
1.036 4.002 5.096
2.588 4.002 2.242
2.331 0.000 0.918
1.293 0.000 6.421
1.036 -4.002 5.096
2.588 -4.002 2.242
```